Record 1
Theoretical X-ray powder pattern
Compound: Tl2SiGeTe4
Radiation: Cu Kα X-rays
Structure: a DFT-relaxed cell (PBE, Alexandria)
No peak broadening, texture or thermal motion is included.

Principal peaks in the range 2θ = 10–80°, low angle first:
(hkl), Position (°2θ), I_rel
0 2 0, 19.10, 43
2 1 0, 20.15, 93
0 0 2, 26.50, 100
2 2 1, 29.40, 89
0 3 1, 31.80, 40
2 1 2, 33.52, 44
2 3 0, 34.04, 47
4 0 0, 35.89, 34
2 3 2, 43.65, 41
2 2 3, 48.65, 38

Cell and atoms:
a b c (Å): 10.0086 9.2929 6.7267
angles (deg): 90.00 90.00 90.00
Space group Pmn2_1 (No. 31)
Asymmetric unit:
Tl  0.2297  0.1501  0.0000 x4
Si  0.0000  0.3862  0.5806 x2
Ge  0.0000  0.6866  0.0478 x2
Te  0.0000  0.4026  0.9618 x2
Te  0.0000  0.6491  0.4593 x2
Te  0.2064  0.2443  0.4864 x4

=====

Record 2
Theoretical X-ray powder pattern
Compound: PmTm2Zn2Ga2
Radiation: Cu Kα X-rays
Structure: a DFT-relaxed cell (PBE, Alexandria)
No peak broadening, texture or thermal motion is included.

Principal peaks in the range 2θ = 10–80°, low angle first:
(hkl), Position (°2θ), I_rel
1 0 1, 23.27, 45
1 0 7, 32.65, 83
0 1 8, 35.11, 98
1 1 0, 40.47, 100
0 2 7, 52.94, 21
2 0 8, 54.64, 28
1 1 15, 66.34, 34
2 1 7, 68.69, 19
1 2 8, 70.16, 26
3 0 0, 73.61, 17

Cell and atoms:
a b c (Å): 4.4576 4.4576 27.2813
angles (deg): 90.00 90.00 120.00
Space group R-3m (No. 166, hexagonal axes)
Asymmetric unit:
Pm  0.0000  0.0000  0.0000 x3
Tm  0.0000  0.0000  0.1284 x6
Zn  0.0000  0.0000  0.4038 x6
Ga  0.0000  0.0000  0.2573 x6

=====

Record 3
Theoretical X-ray powder pattern
Compound: PrTm2Hf
Radiation: Cu Kα X-rays
Structure: a DFT-relaxed cell (PBE, Alexandria)
No peak broadening, texture or thermal motion is included.

Principal peaks in the range 2θ = 10–80°, low angle first:
(hkl), Position (°2θ), I_rel
0 1 2, 30.49, 28
0 0 12, 31.69, 40
0 1 5, 32.86, 100
1 0 7, 35.40, 58
1 0 10, 40.33, 27
1 1 0, 53.31, 33
0 1 17, 55.49, 23
1 1 12, 63.36, 33
2 0 5, 64.06, 15
1 0 22, 68.61, 12

Cell and atoms:
a b c (Å): 3.4371 3.4371 33.8824
angles (deg): 90.00 90.00 120.00
Space group R3m (No. 160, hexagonal axes)
Asymmetric unit:
Pr  0.0000  0.0000  0.0000 x3
Tm  0.0000  0.0000  0.5756 x3
Tm  0.0000  0.0000  0.7568 x3
Hf  0.0000  0.0000  0.1659 x3

=====

Record 4
Theoretical X-ray powder pattern
Compound: HoMgScOs
Radiation: Cu Kα X-rays
Structure: a DFT-relaxed cell (PBE, Alexandria)
No peak broadening, texture or thermal motion is included.

Principal peaks in the range 2θ = 10–80°, low angle first:
(hkl), Position (°2θ), I_rel
0 0 1, 11.31, 100
1 0 1, 29.00, 23
1 0 2, 35.28, 75
1 1 0, 37.99, 35
1 1 1, 39.77, 20
1 0 3, 44.01, 27
2 0 0, 54.82, 12
1 1 4, 61.49, 10
2 1 2, 66.89, 23
2 1 3, 72.82, 12

Cell and atoms:
a b c (Å): 3.3492 3.3492 7.8224
angles (deg): 90.00 90.00 90.00
Space group P4mm (No. 99)
Asymmetric unit:
Ho  0.0000  0.0000  0.0000 x1
Mg  0.5000  0.5000  0.3178 x1
Sc  0.0000  0.0000  0.5956 x1
Os  0.5000  0.5000  0.7809 x1

=====

Record 5
Theoretical X-ray powder pattern
Compound: Cs
Radiation: Cu Kα X-rays
Structure: a DFT-relaxed cell (PBE, Alexandria)
No peak broadening, texture or thermal motion is included.

Principal peaks in the range 2θ = 10–80°, low angle first:
(hkl), Position (°2θ), I_rel
0 2 0, 20.36, 52
1 1 0, 20.65, 100
0 2 1, 28.95, 22
2 0 -1, 29.78, 10
1 3 0, 35.79, 24
1 3 -1, 35.86, 24
2 0 0, 36.32, 17
0 4 1, 46.56, 11
1 3 1, 46.70, 11
3 1 -1, 47.81, 11

Cell and atoms:
a b c (Å): 6.0005 8.7142 5.2875
angles (deg): 90.00 124.33 90.00
Space group C2/m (No. 12)
Asymmetric unit:
Cs  0.0000  0.0000  0.0000 x2

=====

Record 6
Theoretical X-ray powder pattern
Compound: PuMgTlH
Radiation: Cu Kα X-rays
Structure: a DFT-relaxed cell (PBE, Alexandria)
No peak broadening, texture or thermal motion is included.

Principal peaks in the range 2θ = 10–80°, low angle first:
(hkl), Position (°2θ), I_rel
0 0 1, 10.09, 59
1 0 2, 29.15, 91
1 1 0, 29.48, 99
1 1 1, 31.23, 35
1 1 2, 36.04, 24
1 0 3, 37.25, 100
2 0 0, 42.18, 49
0 0 5, 52.10, 45
2 1 3, 57.52, 58
2 0 5, 69.22, 21

Cell and atoms:
a b c (Å): 4.2850 4.2850 8.7650
angles (deg): 90.00 90.00 90.00
Space group P4/nmm (No. 129, origin choice 2)
Asymmetric unit:
Pu  0.2500  0.2500  0.1121 x2
Mg  0.2500  0.7500  0.5000 x2
Tl  0.2500  0.2500  0.7340 x2
H  0.2500  0.7500  0.0000 x2

=====

Please write out number 3 again, unchanged.
Theoretical X-ray powder pattern
Compound: PrTm2Hf
Radiation: Cu Kα X-rays
Structure: a DFT-relaxed cell (PBE, Alexandria)
No peak broadening, texture or thermal motion is included.

Principal peaks in the range 2θ = 10–80°, low angle first:
(hkl), Position (°2θ), I_rel
0 1 2, 30.49, 28
0 0 12, 31.69, 40
0 1 5, 32.86, 100
1 0 7, 35.40, 58
1 0 10, 40.33, 27
1 1 0, 53.31, 33
0 1 17, 55.49, 23
1 1 12, 63.36, 33
2 0 5, 64.06, 15
1 0 22, 68.61, 12

Cell and atoms:
a b c (Å): 3.4371 3.4371 33.8824
angles (deg): 90.00 90.00 120.00
Space group R3m (No. 160, hexagonal axes)
Asymmetric unit:
Pr  0.0000  0.0000  0.0000 x3
Tm  0.0000  0.0000  0.5756 x3
Tm  0.0000  0.0000  0.7568 x3
Hf  0.0000  0.0000  0.1659 x3

=====

Repeat the fourth record exactly.
Theoretical X-ray powder pattern
Compound: HoMgScOs
Radiation: Cu Kα X-rays
Structure: a DFT-relaxed cell (PBE, Alexandria)
No peak broadening, texture or thermal motion is included.

Principal peaks in the range 2θ = 10–80°, low angle first:
(hkl), Position (°2θ), I_rel
0 0 1, 11.31, 100
1 0 1, 29.00, 23
1 0 2, 35.28, 75
1 1 0, 37.99, 35
1 1 1, 39.77, 20
1 0 3, 44.01, 27
2 0 0, 54.82, 12
1 1 4, 61.49, 10
2 1 2, 66.89, 23
2 1 3, 72.82, 12

Cell and atoms:
a b c (Å): 3.3492 3.3492 7.8224
angles (deg): 90.00 90.00 90.00
Space group P4mm (No. 99)
Asymmetric unit:
Ho  0.0000  0.0000  0.0000 x1
Mg  0.5000  0.5000  0.3178 x1
Sc  0.0000  0.0000  0.5956 x1
Os  0.5000  0.5000  0.7809 x1